This entry pairs a crystal structure of RbAgSO4 with its simulated X-ray diffraction stick pattern. Radiation: Cu Kα, 1.54184 Å. Structure: the GGA-PBE geometry in Alexandria.
Peak positions follow from Bragg's law for the DFT cell and can differ from measured ones.

Main lines, sorted by position (5 to 70 degrees two-theta):
d_spacing  I (rel.)
4.999  63
4.329  2
3.061  100
2.610  28
2.499  2
2.164  10
1.986  23
1.767  35
1.666  13
1.531  14
1.463  10
1.369  13

Structural model:
Lattice parameters (Å, degrees): 6.1220 6.1220 6.1220 60.00 60.00 60.00
Fractional positions:
1 Rb 0.0000 0.0000 0.0000
2 Ag 0.2500 0.2500 0.2500
3 S 0.5000 0.5000 0.5000
4 O 0.4007 0.4007 0.4007
5 O 0.4007 0.4007 0.7978
6 O 0.4007 0.7978 0.4007
7 O 0.7978 0.4007 0.4007